Starting from a cell relaxed with PBE, the powder diffraction line list of AlCuTe2 was calculated for Cu Kα (λ = 1.5418 Å).

Structure:
```
data_AlCuTe2
_cell_length_a 6.0846
_cell_length_b 6.0846
_cell_length_c 12.0925
_cell_angle_alpha 90.00
_cell_angle_beta 90.00
_cell_angle_gamma 90.00
_symmetry_space_group_name_H-M 'I -4 2 d'
_symmetry_Int_Tables_number 122
_symmetry_space_group_name_Hall 'I -4 2bw'
loop_
_atom_site_label
_atom_site_fract_x
_atom_site_fract_y
_atom_site_fract_z
Al1 0.0000 0.0000 0.0000
Cu1 0.0000 0.0000 0.5000
Te1 0.2412 0.2500 0.6250
```

The 12 most intense peaks (2θ from 10° to 90°), low angle first:
2θ = 25.41°, rel. 100.0, hkl 1 1 2
2θ = 29.36°, rel. 11.0, hkl 2 0 0
2θ = 42.00°, rel. 21.5, hkl 2 2 0
2θ = 42.14°, rel. 42.7, hkl 2 0 4
2θ = 49.73°, rel. 31.1, hkl 3 1 2
2θ = 49.97°, rel. 15.5, hkl 1 1 6
2θ = 60.90°, rel. 6.9, hkl 4 0 0
2θ = 67.07°, rel. 6.1, hkl 3 3 2
2θ = 67.27°, rel. 12.3, hkl 3 1 6
2θ = 76.83°, rel. 13.7, hkl 4 2 4
2θ = 77.12°, rel. 6.9, hkl 2 2 8
2θ = 82.37°, rel. 6.8, hkl 5 1 2